Sm3Dy5Er2: computed X-ray diffraction stick pattern (a wavelength of 1.5418 Å), based on DFT lattice parameters and positions (GGA-PBE).

Main lines, low angle first (2θ = 10–90°):
| 2θ/deg | I/Imax |
| --- | --- |
| 30.40 | 1000 |
| 30.50 | 501 |
| 30.62 | 504 |
| 32.28 | 237 |
| 33.54 | 477 |
| 36.03 | 111 |
| 36.40 | 117 |
| 38.13 | 180 |
| 49.28 | 193 |
| 58.00 | 159 |
| 58.10 | 172 |
| 60.83 | 102 |

Structural model:
Cell: 9.5315 9.5315 9.4310 Å, 108.38 108.38 111.81°
Positions (direct):
Sm1 0.0185 0.2666 0.0455
Sm2 0.2336 0.7664 0.7500
Sm3 0.2666 0.0185 0.5455
Sm4 0.7334 0.9815 0.4545
Sm5 0.7664 0.2336 0.2500
Sm6 0.9815 0.7334 0.9545
Dy1 0.0265 0.9735 0.7500
Dy2 0.1513 0.3769 0.7751
Dy3 0.2716 0.7284 0.2500
Dy4 0.3769 0.1513 0.2751
Dy5 0.4692 0.5308 0.2500
Dy6 0.5308 0.4692 0.7500
Dy7 0.6231 0.8487 0.7249
Dy8 0.7284 0.2716 0.7500
Dy9 0.8487 0.6231 0.2249
Dy10 0.9735 0.0265 0.2500
Er1 0.2281 0.4635 0.4528
Er2 0.4635 0.2281 0.9528
Er3 0.5365 0.7719 0.0472
Er4 0.7719 0.5365 0.5472

TbSm5Dy2Er: computed X-ray diffraction stick pattern (a wavelength of 1.5418 Å), based on DFT lattice parameters and positions (GGA-PBE).

Main lines, low angle first (2θ = 10–90°):
| 2θ/deg | I/Imax |
| --- | --- |
| 26.60 | 91 |
| 27.81 | 147 |
| 30.11 | 328 |
| 31.83 | 377 |
| 32.05 | 1000 |
| 33.68 | 129 |
| 42.76 | 92 |
| 47.02 | 102 |
| 50.75 | 102 |
| 56.85 | 198 |
| 58.99 | 113 |
| 61.16 | 115 |

Structural model:
Cell: 10.4794 10.4794 10.6441 Å, 90.00 90.00 148.88°
Positions (direct):
Tb1 0.1995 0.8005 0.5000
Tb2 0.8005 0.1995 0.0000
Sm1 0.0167 0.9833 0.5099
Sm2 0.2805 0.7195 0.7997
Sm3 0.2987 0.7013 0.1961
Sm4 0.3881 0.6119 0.5123
Sm5 0.4810 0.5190 0.2316
Sm6 0.5190 0.4810 0.7316
Sm7 0.6119 0.3881 0.0123
Sm8 0.7013 0.2987 0.6961
Sm9 0.7195 0.2805 0.2997
Sm10 0.9833 0.0167 0.0099
Dy1 0.1112 0.8888 0.2272
Dy2 0.1148 0.8852 0.8041
Dy3 0.8852 0.1148 0.3041
Dy4 0.8888 0.1112 0.7272
Er1 0.4099 0.5901 0.9494
Er2 0.5901 0.4099 0.4494

TbSm2DyEr4: computed X-ray diffraction stick pattern (a wavelength of 1.5418 Å), based on DFT lattice parameters and positions (GGA-PBE).

Main lines, low angle first (2θ = 10–90°):
| 2θ/deg | I/Imax |
| --- | --- |
| 26.96 | 455 |
| 30.46 | 1000 |
| 41.12 | 889 |
| 54.12 | 200 |
| 55.57 | 62 |
| 61.49 | 272 |
| 63.40 | 83 |
| 64.70 | 233 |
| 70.16 | 184 |
| 81.29 | 124 |
| 87.99 | 52 |
| 89.23 | 102 |

Structural model:
Cell: 9.4685 9.4685 6.7835 Å, 110.98 110.98 88.64°
Positions (direct):
Tb1 0.0000 0.5000 0.0000
Tb2 0.5000 0.0000 0.5000
Sm1 0.0000 0.0000 0.0000
Sm2 0.0000 0.0000 0.5000
Sm3 0.0000 0.5000 0.5000
Sm4 0.5000 0.0000 0.0000
Dy1 0.5000 0.5000 0.0000
Dy2 0.5000 0.5000 0.5000
Er1 0.2513 0.2530 0.0009
Er2 0.2519 0.7481 0.0006
Er3 0.2519 0.7481 0.4994
Er4 0.2530 0.2513 0.5009
Er5 0.7470 0.7487 0.4991
Er6 0.7481 0.2519 0.5006
Er7 0.7481 0.2519 0.9994
Er8 0.7487 0.7470 0.9991

TbSmDy4Er2: computed X-ray diffraction stick pattern (a wavelength of 1.5418 Å), based on DFT lattice parameters and positions (GGA-PBE).

Main lines, low angle first (2θ = 10–90°):
| 2θ/deg | I/Imax |
| --- | --- |
| 30.90 | 1000 |
| 35.83 | 506 |
| 51.58 | 360 |
| 61.35 | 428 |
| 64.39 | 123 |
| 75.94 | 57 |
| 84.20 | 178 |
| 86.92 | 167 |

Structural model:
Cell: 7.0906 7.0906 12.2701 Å, 106.79 106.79 60.00°
Positions (direct):
Tb1 0.0000 0.5000 0.0000
Tb2 0.5000 0.0000 0.0000
Sm1 0.0000 0.0000 0.0000
Sm2 0.0000 0.0000 0.5000
Dy1 0.2505 0.2505 0.2511
Dy2 0.2501 0.2501 0.7497
Dy3 0.2501 0.7495 0.7494
Dy4 0.2505 0.7499 0.2506
Dy5 0.7495 0.2501 0.7494
Dy6 0.7499 0.2505 0.2506
Dy7 0.7499 0.7499 0.2503
Dy8 0.7495 0.7495 0.7489
Er1 0.0000 0.5000 0.5000
Er2 0.5000 0.0000 0.5000
Er3 0.5000 0.5000 0.0000
Er4 0.5000 0.5000 0.5000